Entry 1:
Calculated X-ray powder pattern of MnNiSnPd for Cu Kα X-rays, from DFT lattice parameters and positions (GGA-PBE).
No peak broadening, texture or thermal motion is included.

Peak list (5 most intense, 5 to 70 degrees two-theta, most intense first)
40.8 deg, intensity 1000, (2 2 0); 59.0 deg, intensity 164, (4 0 0); 24.6 deg, intensity 120, (1 1 1); 48.2 deg, intensity 66, (3 1 1); 64.9 deg, intensity 30, (3 3 1)

Crystal structure
abc: 6.259 6.259 6.259
angles: 90.00 90.00 90.00
Fractional positions:
1 Mn 0.000 0.000 0.000
2 Mn 0.000 0.500 0.500
3 Mn 0.500 0.000 0.500
4 Mn 0.500 0.500 0.000
5 Ni 0.250 0.250 0.250
6 Ni 0.250 0.750 0.750
7 Ni 0.750 0.250 0.750
8 Ni 0.750 0.750 0.250
9 Sn 0.000 0.000 0.500
10 Sn 0.000 0.500 0.000
11 Sn 0.500 0.000 0.000
12 Sn 0.500 0.500 0.500
13 Pd 0.250 0.250 0.750
14 Pd 0.250 0.750 0.250
15 Pd 0.750 0.250 0.250
16 Pd 0.750 0.750 0.750

---

Entry 2:
Calculated X-ray powder pattern of MnNiSnRh for Cu Kα X-rays, from DFT lattice parameters and positions (GGA-PBE).
No peak broadening, texture or thermal motion is included.

Peak list (5 most intense, 5 to 70 degrees two-theta, most intense first)
41.2 deg, intensity 1000, (2 2 0); 59.7 deg, intensity 163, (4 0 0); 24.9 deg, intensity 118, (1 1 1); 48.7 deg, intensity 65, (3 1 1); 65.7 deg, intensity 30, (3 3 1)

Crystal structure
abc: 6.198 6.198 6.198
angles: 90.00 90.00 90.00
Fractional positions:
1 Mn 0.000 0.000 0.000
2 Mn 0.000 0.500 0.500
3 Mn 0.500 0.000 0.500
4 Mn 0.500 0.500 0.000
5 Ni 0.250 0.250 0.750
6 Ni 0.250 0.750 0.250
7 Ni 0.750 0.250 0.250
8 Ni 0.750 0.750 0.750
9 Sn 0.000 0.000 0.500
10 Sn 0.000 0.500 0.000
11 Sn 0.500 0.000 0.000
12 Sn 0.500 0.500 0.500
13 Rh 0.250 0.250 0.250
14 Rh 0.250 0.750 0.750
15 Rh 0.750 0.250 0.750
16 Rh 0.750 0.750 0.250

---

Entry 3:
Calculated X-ray powder pattern of MnNiSb for Cu Kα X-rays, from DFT lattice parameters and positions (GGA-PBE).
No peak broadening, texture or thermal motion is included.

Peak list (7 most intense, 5 to 70 degrees two-theta, most intense first)
43.2 deg, intensity 1000, (2 2 0); 30.2 deg, intensity 391, (2 0 0); 26.1 deg, intensity 284, (1 1 1); 62.7 deg, intensity 156, (4 0 0); 51.1 deg, intensity 128, (3 1 1); 53.6 deg, intensity 103, (2 2 2); 69.1 deg, intensity 51, (3 3 1)

Crystal structure
abc: 5.923 5.923 5.923
angles: 90.00 90.00 90.00
Fractional positions:
1 Mn 0.000 0.000 0.000
2 Mn 0.000 0.500 0.500
3 Mn 0.500 0.000 0.500
4 Mn 0.500 0.500 0.000
5 Ni 0.250 0.250 0.750
6 Ni 0.250 0.750 0.250
7 Ni 0.750 0.250 0.250
8 Ni 0.750 0.750 0.750
9 Sb 0.250 0.250 0.250
10 Sb 0.250 0.750 0.750
11 Sb 0.750 0.250 0.750
12 Sb 0.750 0.750 0.250

---

Entry 4:
Calculated X-ray powder pattern of MnNi2Sb for Cu Kα X-rays, from DFT lattice parameters and positions (GGA-PBE).
No peak broadening, texture or thermal motion is included.

Peak list (8 most intense, 5 to 70 degrees two-theta, most intense first)
42.4 deg, intensity 1000, (2 2 0); 61.4 deg, intensity 156, (4 0 0); 25.6 deg, intensity 86, (1 1 1); 29.6 deg, intensity 59, (2 0 0); 50.1 deg, intensity 43, (3 1 1); 69.7 deg, intensity 22, (4 2 0); 67.7 deg, intensity 18, (3 3 1); 52.5 deg, intensity 17, (2 2 2)

Crystal structure
abc: 6.036 6.036 6.036
angles: 90.00 90.00 90.00
Fractional positions:
1 Mn 0.000 0.000 0.000
2 Mn 0.000 0.500 0.500
3 Mn 0.500 0.000 0.500
4 Mn 0.500 0.500 0.000
5 Ni 0.000 0.000 0.500
6 Ni 0.000 0.500 0.000
7 Ni 0.250 0.250 0.750
8 Ni 0.250 0.750 0.250
9 Ni 0.500 0.000 0.000
10 Ni 0.500 0.500 0.500
11 Ni 0.750 0.250 0.250
12 Ni 0.750 0.750 0.750
13 Sb 0.250 0.250 0.250
14 Sb 0.250 0.750 0.750
15 Sb 0.750 0.250 0.750
16 Sb 0.750 0.750 0.250